Entry 1:
Computed powder XRD pattern
Compound: NaSmZnSe3
Radiation: Cu Kα
Structure: DFT lattice parameters and positions (GGA-PBE)
Intensities are scaled so that the largest is 100.

Peak list (10 most intense, 5° ≤ 2θ ≤ 70°, in order of rising 2θ)
- (0 0 2), 13.0 deg, rel. 100
- (3 0 2), 27.3 deg, rel. 31
- (0 1 3), 29.3 deg, rel. 37
- (1 1 3), 30.4 deg, rel. 39
- (2 1 3), 33.5 deg, rel. 76
- (4 0 2), 34.7 deg, rel. 25
- (4 1 1), 39.6 deg, rel. 20
- (2 1 5), 43.0 deg, rel. 53
- (0 2 0), 44.0 deg, rel. 28
- (3 1 5), 46.8 deg, rel. 30

Structural model:
a b c (Å): 11.162 4.116 13.629
angles (deg): 90.00 90.00 90.00
Space group Pnma (No. 62)
Asymmetric unit:
Na 0.217 0.250 0.005 (multiplicity 4)
Sm 0.014 0.750 0.740 (multiplicity 4)
Zn 0.236 0.750 0.218 (multiplicity 4)
Se 0.053 0.750 0.118 (multiplicity 4)
Se 0.094 0.250 0.605 (multiplicity 4)
Se 0.239 0.250 0.330 (multiplicity 4)


Entry 2:
Computed powder XRD pattern
Compound: BiPt17
Radiation: Cu Kα
Structure: DFT lattice parameters and positions (GGA-PBE)
Intensities are scaled so that the largest is 100.

Peak list (10 most intense, 5° ≤ 2θ ≤ 70°, in order of rising 2θ)
- (0 0 2), 5.2 deg, rel. 99
- (0 0 14), 36.9 deg, rel. 21
- (2 0 -4), 38.9 deg, rel. 43
- (0 0 15), 39.6 deg, rel. 26
- (1 2 5), 39.7 deg, rel. 100
- (1 2 6), 40.7 deg, rel. 15
- (1 2 -9), 44.6 deg, rel. 37
- (2 0 10), 46.2 deg, rel. 56
- (2 0 -19), 64.8 deg, rel. 13
- (0 4 0), 67.5 deg, rel. 30

Structural model:
a b c (Å): 4.811 5.552 34.140
angles (deg): 90.00 90.02 90.00
Space group P2_1/m (No. 11)
Asymmetric unit:
Bi 0.168 0.250 0.301 (multiplicity 2)
Pt 0.000 0.000 0.000 (multiplicity 2)
Pt 0.001 0.503 0.796 (multiplicity 4)
Pt 0.164 0.250 0.068 (multiplicity 2)
Pt 0.165 0.750 0.068 (multiplicity 2)
Pt 0.170 0.750 0.864 (multiplicity 2)
Pt 0.171 0.250 0.865 (multiplicity 2)
Pt 0.174 0.750 0.272 (multiplicity 2)
Pt 0.329 0.001 0.136 (multiplicity 4)
Pt 0.329 0.003 0.729 (multiplicity 4)
Pt 0.336 0.000 0.932 (multiplicity 4)
Pt 0.493 0.250 0.205 (multiplicity 2)
Pt 0.497 0.750 0.203 (multiplicity 2)
Pt 0.500 0.250 0.000 (multiplicity 2)